No. 1
Computed PXRD pattern of Pd3AuO6 for λ = 1.5418 Å (Cu Kα), from the PBE geometry in Alexandria.
Lines closer than 0.1° are merged.

Most intense lines, 2θ = 5–70°, low angle first:
14.62°, intensity 16
29.48°, intensity 100
33.25°, intensity 76
35.00°, intensity 22
37.13°, intensity 39
48.47°, intensity 15
51.94°, intensity 54
59.42°, intensity 15
60.04°, intensity 28
66.63°, intensity 19

Structure:
```
Pd3AuO6
1.0
3.7564 -5.1268 0.0000
3.7564 5.1268 0.0000
0.0000 0.0000 3.1677
Pd Au O
3 1 6
Direct
0.0000 0.0000 0.0000
0.0000 0.5000 0.5000
0.5000 0.0000 0.5000
0.5000 0.5000 0.0000
0.0678 0.3274 0.0000
0.3274 0.0678 0.0000
0.3532 0.6468 0.5000
0.6468 0.3532 0.5000
0.6726 0.9322 0.0000
0.9322 0.6726 0.0000
```

No. 2
Computed PXRD pattern of CePmFeC for λ = 1.5418 Å (Cu Kα), from the PBE geometry in Alexandria.
Lines closer than 0.1° are merged.

Most intense lines, 2θ = 5–70°, low angle first:
15.76°, intensity 19
23.74°, intensity 35
25.63°, intensity 54
31.83°, intensity 25
35.64°, intensity 23
38.33°, intensity 100
40.48°, intensity 20
49.90°, intensity 30
54.05°, intensity 19
60.41°, intensity 15

Structure:
```
CePmFeC
1.0
3.6553 0.0000 0.0000
0.0000 3.6553 0.0000
0.0000 0.0000 11.2461
Ce Pm Fe C
2 2 2 2
Direct
0.2500 0.7500 0.0000
0.7500 0.2500 0.0000
0.2500 0.2500 0.3005
0.7500 0.7500 0.6995
0.2500 0.7500 0.5000
0.7500 0.2500 0.5000
0.2500 0.2500 0.5736
0.7500 0.7500 0.4264
```

No. 3
Computed PXRD pattern of Sm3Al3Pd2 for λ = 1.5418 Å (Cu Kα), from the PBE geometry in Alexandria.
Lines closer than 0.1° are merged.

Most intense lines, 2θ = 5–70°, low angle first:
23.07°, intensity 39
25.82°, intensity 64
31.66°, intensity 100
34.19°, intensity 99
34.91°, intensity 60
35.56°, intensity 78
36.15°, intensity 52
36.63°, intensity 35
38.08°, intensity 90
54.04°, intensity 61

Structure:
```
Sm3Al3Pd2
1.0
8.3114 0.0000 0.0000
0.0000 15.4209 0.0000
0.0000 0.0000 5.6183
Sm Al Pd
12 12 8
Direct
0.0400 0.1111 0.1173
0.0400 0.3889 0.1173
0.1836 0.2500 0.6137
0.3164 0.7500 0.1137
0.4600 0.6111 0.6173
0.4600 0.8889 0.6173
0.5400 0.1111 0.3827
0.5400 0.3889 0.3827
0.6836 0.2500 0.8863
0.8164 0.7500 0.3863
0.9600 0.6111 0.8827
0.9600 0.8889 0.8827
0.1658 0.7500 0.6050
0.1844 0.0346 0.6086
0.1844 0.4654 0.6086
0.3156 0.5346 0.1086
0.3156 0.9654 0.1086
0.3342 0.2500 0.1050
0.6658 0.7500 0.8950
0.6844 0.0346 0.8914
0.6844 0.4654 0.8914
0.8156 0.5346 0.3914
0.8156 0.9654 0.3914
0.8342 0.2500 0.3950
0.1008 0.6052 0.3746
0.1008 0.8948 0.3746
0.3992 0.1052 0.8746
0.3992 0.3948 0.8746
0.6008 0.6052 0.1254
0.6008 0.8948 0.1254
0.8992 0.1052 0.6254
0.8992 0.3948 0.6254
```

No. 4
Computed PXRD pattern of Na3SrCd2 for λ = 1.5418 Å (Cu Kα), from the PBE geometry in Alexandria.
Lines closer than 0.1° are merged.

Most intense lines, 2θ = 5–70°, low angle first:
10.11°, intensity 35
18.09°, intensity 16
18.79°, intensity 28
21.78°, intensity 18
25.02°, intensity 18
30.29°, intensity 16
31.32°, intensity 19
32.80°, intensity 100
33.26°, intensity 35
59.14°, intensity 19

Structure:
```
Na3SrCd2
1.0
8.0752 -2.6939 0.0000
8.0752 2.6939 0.0000
-4.7059 0.0000 8.7508
Na Sr Cd
6 2 4
Direct
0.0569 0.0569 0.3823
0.2921 0.2921 0.4665
0.4103 0.4103 0.2796
0.5897 0.5897 0.7204
0.7079 0.7079 0.5335
0.9431 0.9431 0.6177
0.1396 0.1396 0.0265
0.8604 0.8604 0.9735
0.2225 0.2225 0.7511
0.4331 0.4331 0.8315
0.5669 0.5669 0.1685
0.7775 0.7775 0.2489
```